TbNdFe2Ge4: calculated PXRD pattern (Cu Kα), based on a cell relaxed with GGA-PBE.
Kinematic intensities with the Lorentz-polarization factor, no thermal factor.

Structural model:
```
TbNdFe2Ge4
1.0
4.3863 0.0000 0.0000
0.0000 4.2055 0.0000
-2.0065 0.0000 7.9516
Tb Nd Fe Ge
1 1 2 4
direct
0.0000 0.0000 0.0000 Tb
0.2191 0.5000 0.4172 Nd
0.4949 0.5000 0.8218 Fe
0.7326 0.0000 0.6021 Fe
0.2977 0.0000 0.7095 Ge
0.5607 0.5000 0.1083 Ge
0.6615 0.0000 0.3105 Ge
0.9296 0.5000 0.7168 Ge
```

The 6 most intense peaks (2θ = 10–90°), by angle:
two_theta, I_rel
33.80, 1000
34.28, 559
35.25, 277
40.22, 402
41.17, 331
43.02, 389

Cs2NbAgSe4: calculated PXRD pattern (Cu Kα), based on a cell relaxed with GGA-PBE.
Kinematic intensities with the Lorentz-polarization factor, no thermal factor.

Structural model:
```
Cs2NbAgSe4
1.0
0.0000 7.3387 12.7723
3.0793 0.0000 12.7723
3.0793 7.3387 0.0000
Cs Nb Ag Se
4 2 2 8
direct
0.0549 0.0549 0.6951 Cs
0.3049 0.3049 0.9451 Cs
0.6951 0.6951 0.0549 Cs
0.9451 0.9451 0.3049 Cs
0.1250 0.1250 0.1250 Nb
0.8750 0.8750 0.8750 Nb
0.3750 0.3750 0.3750 Ag
0.6250 0.6250 0.6250 Ag
0.0592 0.3026 0.3873 Se
0.2491 0.6127 0.6974 Se
0.3026 0.0592 0.7509 Se
0.3873 0.7509 0.0592 Se
0.6127 0.2491 0.9408 Se
0.6974 0.9408 0.2491 Se
0.7509 0.3873 0.3026 Se
0.9408 0.6974 0.6127 Se
```

The 6 most intense peaks (2θ = 10–90°), by angle:
two_theta, I_rel
13.89, 552
24.18, 671
25.50, 1000
29.14, 597
36.00, 478
47.47, 320

YErI2N: calculated PXRD pattern (Cu Kα), based on a cell relaxed with GGA-PBE.
Kinematic intensities with the Lorentz-polarization factor, no thermal factor.

Structural model:
```
YErI2N
1.0
3.7620 0.0000 0.0000
-1.8810 3.2580 0.0000
0.0000 0.0000 10.7711
Y Er I N
1 1 2 1
direct
0.0000 0.0000 0.0000 Y
0.6667 0.3333 0.7671 Er
0.0000 0.0000 0.5684 I
0.6667 0.3333 0.2012 I
0.3333 0.6667 0.8786 N
```

The 6 most intense peaks (2θ = 10–90°), by angle:
two_theta, I_rel
27.38, 301
32.11, 1000
37.27, 279
43.61, 154
48.39, 274
59.26, 170